[1]
Computed powder XRD pattern of Be2OsPbO8 for Cu Kα, 1.54184 Å, from a GGA-PBE-relaxed structure.
Kinematic intensities with the Lorentz-polarization factor, no thermal factor.

Atomic structure:
abc: 4.9338 4.9338 6.9314
angles: 90.00 90.00 120.00
Space group P-3 (No. 147)
Symmetry-distinct sites (fractional):
Be1 0.3333 0.6667 0.2350 (multiplicity 2)
Os1 0.0000 0.0000 0.0000 (multiplicity 1)
Pb1 0.0000 0.0000 0.5000 (multiplicity 1)
O1 0.0694 0.3301 0.1602 (multiplicity 6)
O2 0.3333 0.6667 0.4713 (multiplicity 2)

Principal peaks in the range 2θ from 5° to 70°, in order of falling intensity:
2θ/deg, d_spacing, I_rel, h k l
20.8, 4.273, 100, 1 0 0
33.3, 2.692, 62, 0 1 2
45.1, 2.010, 35, 2 -1 2
36.4, 2.467, 27, 1 1 0
50.2, 1.819, 22, 0 2 2
63.6, 1.464, 21, 3 -2 2
25.7, 3.466, 19, 0 0 2
57.0, 1.615, 14, 1 2 0
42.3, 2.136, 13, 2 0 0
57.4, 1.606, 13, 1 0 4

[2]
Computed powder XRD pattern of Sr2BeOsO6 for Cu Kα, 1.54184 Å, from a GGA-PBE-relaxed structure.
Kinematic intensities with the Lorentz-polarization factor, no thermal factor.

Atomic structure:
abc: 7.637 7.669 7.750
angles: 90.00 90.00 90.00
Space group Fmmm (No. 69)
Symmetry-distinct sites (fractional):
Sr1 0.250 0.250 0.250 (multiplicity 8)
Be1 0.000 0.000 0.000 (multiplicity 4)
Os1 0.000 0.000 0.500 (multiplicity 4)
O1 0.000 0.000 0.248 (multiplicity 8)
O2 0.000 0.246 0.000 (multiplicity 8)
O3 0.245 0.000 0.000 (multiplicity 8)

Principal peaks in the range 2θ from 5° to 70°, in order of falling intensity:
2θ/deg, d_spacing, I_rel, h k l
32.9, 2.723, 100, 2 0 2
20.0, 4.437, 94, 1 1 1
33.1, 2.706, 49, 2 2 0
58.6, 1.575, 20, 2 2 4
58.9, 1.567, 20, 2 4 2
59.1, 1.564, 19, 4 2 2
38.6, 2.331, 19, 1 1 3
38.9, 2.314, 19, 1 3 1
39.1, 2.306, 19, 3 1 1
46.9, 1.938, 17, 0 0 4

[3]
Computed powder XRD pattern of SrBe4Os3O12 for Cu Kα, 1.54184 Å, from a GGA-PBE-relaxed structure.
Kinematic intensities with the Lorentz-polarization factor, no thermal factor.

Atomic structure:
abc: 10.2741 10.2741 6.9454
angles: 90.00 90.00 120.00
Space group R32 (No. 155, hexagonal axes)
Symmetry-distinct sites (fractional):
Sr1 0.0000 0.0000 0.0000 (multiplicity 3)
Be1 0.0000 0.0000 0.5000 (multiplicity 3)
Be2 0.0000 0.4118 0.5000 (multiplicity 9)
Os1 0.0000 0.5799 0.0000 (multiplicity 9)
O1 0.0000 0.5647 0.5000 (multiplicity 9)
O2 0.0000 0.8511 0.5000 (multiplicity 9)
O3 0.0660 0.2432 0.1779 (multiplicity 18)

Principal peaks in the range 2θ from 5° to 70°, in order of falling intensity:
2θ/deg, d_spacing, I_rel, h k l
17.3, 5.137, 100, 1 1 0
23.8, 3.746, 70, 0 2 1
45.1, 2.012, 46, 3 1 2
32.7, 2.737, 45, 2 0 2
29.5, 3.027, 33, 2 1 1
38.7, 2.325, 28, 1 3 1
42.8, 2.111, 21, 1 1 3
46.4, 1.958, 15, 3 2 1
65.8, 1.420, 14, 1 3 4
65.5, 1.425, 14, 5 2 0

[4]
Computed powder XRD pattern of Be2P2O7 for Cu Kα, 1.54184 Å, from a GGA-PBE-relaxed structure.
Kinematic intensities with the Lorentz-polarization factor, no thermal factor.

Atomic structure:
abc: 6.782 7.823 8.979
angles: 90.00 108.79 90.00
Space group C2/c (No. 15)
Symmetry-distinct sites (fractional):
Be1 0.128 0.147 0.431 (multiplicity 8)
P1 0.221 0.189 0.788 (multiplicity 8)
O1 0.000 0.286 0.750 (multiplicity 4)
O2 0.112 0.195 0.108 (multiplicity 8)
O3 0.205 0.018 0.862 (multiplicity 8)
O4 0.245 0.322 0.377 (multiplicity 8)

Principal peaks in the range 2θ from 5° to 70°, in order of falling intensity:
2θ/deg, d_spacing, I_rel, h k l
22.7, 3.912, 100, 0 2 0
27.8, 3.210, 93, 2 0 0
32.2, 2.776, 86, 1 1 -3
20.9, 4.250, 77, 0 0 2
40.3, 2.237, 50, 2 2 1
25.1, 3.553, 41, 0 2 1
17.9, 4.963, 36, 1 1 0
35.1, 2.560, 33, 2 2 -1
31.1, 2.878, 23, 0 2 2
37.1, 2.421, 22, 2 2 -2

[5]
Computed powder XRD pattern of BeP2O6 for Cu Kα, 1.54184 Å, from a GGA-PBE-relaxed structure.
Kinematic intensities with the Lorentz-polarization factor, no thermal factor.

Atomic structure:
abc: 10.075 10.243 9.070
angles: 90.00 90.00 90.00
Space group C222_1 (No. 20)
Symmetry-distinct sites (fractional):
Be1 0.236 0.096 0.212 (multiplicity 8)
P1 0.000 0.086 0.750 (multiplicity 4)
P2 0.061 0.500 0.500 (multiplicity 4)
P3 0.120 0.269 0.965 (multiplicity 8)
O1 0.003 0.185 0.888 (multiplicity 8)
O2 0.037 0.383 0.040 (multiplicity 8)
O3 0.128 0.014 0.738 (multiplicity 8)
O4 0.135 0.475 0.640 (multiplicity 8)
O5 0.175 0.191 0.089 (multiplicity 8)
O6 0.216 0.320 0.854 (multiplicity 8)

Principal peaks in the range 2θ from 5° to 70°, in order of falling intensity:
2θ/deg, d_spacing, I_rel, h k l
26.7, 3.339, 100, 2 2 1
23.2, 3.835, 58, 1 1 2
15.7, 5.631, 36, 1 1 1
20.2, 4.404, 18, 2 0 1
26.2, 3.395, 17, 0 2 2
17.6, 5.037, 8, 2 0 0
44.8, 2.023, 8, 4 2 2
40.9, 2.208, 7, 1 3 3
50.8, 1.796, 7, 4 4 0
29.3, 3.046, 6, 1 3 1

[6]
Computed powder XRD pattern of BeP2O6 for Cu Kα, 1.54184 Å, from a GGA-PBE-relaxed structure.
Kinematic intensities with the Lorentz-polarization factor, no thermal factor.

Atomic structure:
abc: 9.892 10.450 4.802
angles: 90.00 117.53 90.00
Space group C2/c (No. 15)
Symmetry-distinct sites (fractional):
Be1 0.000 0.219 0.250 (multiplicity 4)
P1 0.230 0.410 0.322 (multiplicity 8)
O1 0.105 0.127 0.547 (multiplicity 8)
O2 0.112 0.309 0.166 (multiplicity 8)
O3 0.194 0.472 0.588 (multiplicity 8)

Principal peaks in the range 2θ from 5° to 70°, in order of falling intensity:
2θ/deg, d_spacing, I_rel, h k l
27.0, 3.301, 100, 0 2 1
20.4, 4.362, 99, 1 1 -1
27.4, 3.257, 97, 2 2 -1
20.2, 4.386, 92, 2 0 0
26.5, 3.359, 77, 2 2 0
31.8, 2.817, 48, 3 1 0
37.7, 2.388, 41, 1 3 1
17.0, 5.225, 23, 0 2 0
37.5, 2.400, 22, 2 0 -2
59.4, 1.556, 17, 1 5 -2

What did the fourth record say?
Computed powder XRD pattern of Be2P2O7 for Cu Kα, 1.54184 Å, from a GGA-PBE-relaxed structure.
Kinematic intensities with the Lorentz-polarization factor, no thermal factor.

Atomic structure:
abc: 6.782 7.823 8.979
angles: 90.00 108.79 90.00
Space group C2/c (No. 15)
Symmetry-distinct sites (fractional):
Be1 0.128 0.147 0.431 (multiplicity 8)
P1 0.221 0.189 0.788 (multiplicity 8)
O1 0.000 0.286 0.750 (multiplicity 4)
O2 0.112 0.195 0.108 (multiplicity 8)
O3 0.205 0.018 0.862 (multiplicity 8)
O4 0.245 0.322 0.377 (multiplicity 8)

Principal peaks in the range 2θ from 5° to 70°, in order of falling intensity:
2θ/deg, d_spacing, I_rel, h k l
22.7, 3.912, 100, 0 2 0
27.8, 3.210, 93, 2 0 0
32.2, 2.776, 86, 1 1 -3
20.9, 4.250, 77, 0 0 2
40.3, 2.237, 50, 2 2 1
25.1, 3.553, 41, 0 2 1
17.9, 4.963, 36, 1 1 0
35.1, 2.560, 33, 2 2 -1
31.1, 2.878, 23, 0 2 2
37.1, 2.421, 22, 2 2 -2